Structure and simulated powder diffraction line list of Mn6O5F7 (the GGA+U geometry in the Materials Project; CuKα).

Principal peaks in the range 2θ from 15° to 90°, by angle:
two_theta  intensity
26.5  100
26.8  98
34.0  56
34.2  50
39.2  20
51.7  15
51.8  45
52.0  30
52.4  26
54.5  17
55.2  15
58.4  20

Structure:
```
18
Lattice="5.6797 0.0000 0.0000 1.6831 5.4249 0.0000 2.1163 1.5837 6.8947" Properties=species:S:1:pos:R:3 pbc="T T T"
Mn 0.0000 0.0000 0.0000
Mn 2.5608 5.7237 3.2959
Mn 3.6950 2.6468 4.5278
Mn 2.6980 1.9290 1.0902
Mn 5.4128 3.9110 2.2940
Mn 6.6979 4.6460 5.7342
O 1.1240 0.7592 1.2948
O 3.7710 4.1970 3.4064
O 4.3086 3.0216 0.8220
O 6.6967 4.6860 3.7487
O 7.9053 3.0834 5.7050
F 1.4983 3.6563 1.1194
F 2.4947 1.6136 3.1654
F 5.5003 6.3618 5.6392
F 4.9664 3.4793 5.9566
F 5.5894 5.6850 1.1379
F 5.3468 2.0354 3.4656
F 8.3645 6.0093 5.5465
```


Structure and simulated powder diffraction line list of BaMo2P2O12 (the GGA+U geometry in the Materials Project; CuKα).

Principal peaks in the range 2θ from 15° to 90°, by angle:
two_theta  intensity
20.9  98
21.3  37
24.3  76
29.1  100
30.9  56
32.5  15
34.3  15
39.4  19
40.7  23
42.4  17
44.1  17
45.8  21

Structure:
```
34
Lattice="6.4728 0.0000 0.0000 0.0000 7.3329 0.0000 -0.9029 0.0000 10.1316" Properties=species:S:1:pos:R:3 pbc="T T T"
Ba 0.0000 0.0000 0.0000
Ba -0.4515 3.6664 5.0658
Mo 1.1552 0.2484 6.8302
Mo 1.6067 3.4180 1.7644
Mo 3.9633 3.9148 8.3672
Mo 4.4147 7.0845 3.3014
P 1.2107 0.4158 3.4823
P 0.7592 3.2506 8.5482
P 4.8107 4.0823 1.5835
P 4.3593 6.9171 6.6493
O -0.4504 4.1975 8.2632
O 0.0011 6.8018 3.1973
O 0.9959 1.2016 4.7894
O 0.5445 2.4649 9.8553
O 1.4145 4.9875 1.0417
O 0.9630 6.0119 6.1075
O 1.3998 1.3071 2.2318
O 0.9484 2.3593 7.2977
O 1.7337 3.8044 3.4530
O 1.2822 7.1949 8.5188
O 2.0180 4.1716 8.6714
O 2.4695 6.8277 3.6056
O 3.1005 0.5052 6.5260
O 3.5519 3.1612 1.4602
O 4.2877 0.1380 1.6128
O 3.8363 3.5285 6.6786
O 4.6216 4.9736 2.8340
O 4.1701 6.0257 7.8998
O 4.6069 1.3210 4.0241
O 4.1555 2.3454 9.0899
O 5.0255 4.8680 0.2764
O 4.5740 6.1313 5.3422
O 5.5688 0.5310 6.9343
O 6.0203 3.1354 1.8685
```